# 1
Ta4NbRe: calculated XRD peak list (λ = 1.5418 Å (Cu Kα)), based on a crystal structure in Alexandria, relaxed with PBE.
Kinematic intensities with the Lorentz-polarization factor, no thermal factor.

Atomic structure:
```
data_Ta4NbRe
_chemical_formula_sum 'Ta4 Nb1 Re1'
_symmetry_space_group_name_H-M 'P 4/m m m'
_symmetry_Int_Tables_number 123
_symmetry_space_group_name_Hall '-P 4 2'
_cell_length_a 3.245
_cell_length_b 3.245
_cell_length_c 10.003
_cell_angle_alpha 90.00
_cell_angle_beta 90.00
_cell_angle_gamma 90.00
loop_
_atom_site_label
_atom_site_type_symbol
_atom_site_fract_x
_atom_site_fract_y
_atom_site_fract_z
Ta1 Ta 0.000 0.000 0.158
Ta2 Ta 0.500 0.500 0.332
Nb1 Nb 0.000 0.000 0.500
Re1 Re 0.500 0.500 0.000
```

Top 6 peaks for 10 to 90 degrees two-theta, most intense first:
hkl 1 0 3, d = 2.325 Å, 2θ 38.7, rel. 1000
hkl 1 1 0, d = 2.294 Å, 2θ 39.3, rel. 486
hkl 2 1 3, d = 1.331 Å, 2θ 70.8, rel. 343
hkl 1 1 6, d = 1.349 Å, 2θ 69.7, rel. 174
hkl 2 0 0, d = 1.622 Å, 2θ 56.7, rel. 168
hkl 2 0 6, d = 1.163 Å, 2θ 83.1, rel. 110

=====

# 2
Ta3Nb4Re: calculated XRD peak list (λ = 1.5418 Å (Cu Kα)), based on a crystal structure in Alexandria, relaxed with PBE.
Kinematic intensities with the Lorentz-polarization factor, no thermal factor.

Atomic structure:
```
data_Ta3Nb4Re
_chemical_formula_sum 'Ta6 Nb8 Re2'
_symmetry_space_group_name_H-M 'P m n 21'
_symmetry_Int_Tables_number 31
_symmetry_space_group_name_Hall 'P 2ac -2'
_cell_length_a 9.455
_cell_length_b 5.556
_cell_length_c 5.473
_cell_angle_alpha 90.00
_cell_angle_beta 90.00
_cell_angle_gamma 90.00
loop_
_atom_site_label
_atom_site_type_symbol
_atom_site_fract_x
_atom_site_fract_y
_atom_site_fract_z
Ta1 Ta 0.000 0.055 0.000
Ta2 Ta 0.249 0.689 0.264
Nb1 Nb 0.000 0.446 0.497
Nb2 Nb 0.000 0.944 0.499
Nb3 Nb 0.248 0.809 0.764
Re1 Re 0.000 0.550 0.001
```

Top 6 peaks for 10 to 90 degrees two-theta, most intense first:
hkl 4 0 0, d = 2.367 Å, 2θ 38.0, rel. 1000
hkl 2 2 0, d = 2.395 Å, 2θ 37.6, rel. 415
hkl 2 2 1, d = 2.194 Å, 2θ 41.1, rel. 252
hkl 0 2 2, d = 1.949 Å, 2θ 46.6, rel. 224
hkl 4 2 2, d = 1.504 Å, 2θ 61.7, rel. 189
hkl 0 2 1, d = 2.477 Å, 2θ 36.3, rel. 150

=====

# 3
Ta2NbRe: calculated XRD peak list (λ = 1.5418 Å (Cu Kα)), based on a crystal structure in Alexandria, relaxed with PBE.
Kinematic intensities with the Lorentz-polarization factor, no thermal factor.

Atomic structure:
```
data_Ta2NbRe
_chemical_formula_sum 'Ta8 Nb4 Re4'
_symmetry_space_group_name_H-M 'F m -3 m'
_symmetry_Int_Tables_number 225
_symmetry_space_group_name_Hall '-F 4 2 3'
_cell_length_a 6.497
_cell_length_b 6.497
_cell_length_c 6.497
_cell_angle_alpha 90.00
_cell_angle_beta 90.00
_cell_angle_gamma 90.00
loop_
_atom_site_label
_atom_site_type_symbol
_atom_site_fract_x
_atom_site_fract_y
_atom_site_fract_z
Ta1 Ta 0.250 0.250 0.250
Nb1 Nb 0.000 0.000 0.000
Re1 Re 0.000 0.000 0.500
```

Top 6 peaks for 10 to 90 degrees two-theta, most intense first:
hkl 2 2 0, d = 2.297 Å, 2θ 39.2, rel. 1000
hkl 4 2 2, d = 1.326 Å, 2θ 71.1, rel. 351
hkl 4 0 0, d = 1.624 Å, 2θ 56.7, rel. 172
hkl 4 4 0, d = 1.148 Å, 2θ 84.3, rel. 113
hkl 1 1 1, d = 3.751 Å, 2θ 23.7, rel. 45
hkl 3 1 1, d = 1.959 Å, 2θ 46.4, rel. 25

=====

# 4
Ta3Nb3Re2: calculated XRD peak list (λ = 1.5418 Å (Cu Kα)), based on a crystal structure in Alexandria, relaxed with PBE.
Kinematic intensities with the Lorentz-polarization factor, no thermal factor.

Atomic structure:
```
data_Ta3Nb3Re2
_chemical_formula_sum 'Ta6 Nb6 Re4'
_symmetry_space_group_name_H-M 'C 1 2/m 1'
_symmetry_Int_Tables_number 12
_symmetry_space_group_name_Hall '-C 2y'
_cell_length_a 13.948
_cell_length_b 4.576
_cell_length_c 4.576
_cell_angle_alpha 90.00
_cell_angle_beta 109.09
_cell_angle_gamma 90.00
loop_
_atom_site_label
_atom_site_type_symbol
_atom_site_fract_x
_atom_site_fract_y
_atom_site_fract_z
Ta1 Ta 0.000 0.000 0.000
Ta2 Ta 0.130 0.000 0.630
Nb1 Nb 0.000 0.500 0.500
Nb2 Nb 0.129 0.500 0.129
Re1 Re 0.249 0.000 0.249
```

Top 6 peaks for 10 to 90 degrees two-theta, most intense first:
hkl 3 1 1, d = 2.309 Å, 2θ 39.0, rel. 1000
hkl 0 2 0, d = 2.288 Å, 2θ 39.4, rel. 502
hkl 3 3 1, d = 1.325 Å, 2θ 71.2, rel. 342
hkl 2 2 -2, d = 1.618 Å, 2θ 56.9, rel. 177
hkl 8 2 0, d = 1.337 Å, 2θ 70.4, rel. 173
hkl 6 2 2, d = 1.154 Å, 2θ 83.8, rel. 110

=====

# 5
Nb5ReTc6: calculated XRD peak list (λ = 1.5418 Å (Cu Kα)), based on a crystal structure in Alexandria, relaxed with PBE.
Kinematic intensities with the Lorentz-polarization factor, no thermal factor.

Atomic structure:
```
data_Nb5ReTc6
_chemical_formula_sum 'Nb10 Re2 Tc12'
_symmetry_space_group_name_H-M 'C m m m'
_symmetry_Int_Tables_number 65
_symmetry_space_group_name_Hall '-C 2 2'
_cell_length_a 4.487
_cell_length_b 13.500
_cell_length_c 6.351
_cell_angle_alpha 90.00
_cell_angle_beta 90.00
_cell_angle_gamma 90.00
loop_
_atom_site_label
_atom_site_type_symbol
_atom_site_fract_x
_atom_site_fract_y
_atom_site_fract_z
Nb1 Nb 0.000 0.000 0.000
Nb2 Nb 0.000 0.334 0.000
Nb3 Nb 0.000 0.336 0.500
Re1 Re 0.000 0.000 0.500
Tc1 Tc 0.000 0.166 0.251
Tc2 Tc 0.000 0.500 0.250
```

Top 6 peaks for 10 to 90 degrees two-theta, most intense first:
hkl 1 3 2, d = 2.247 Å, 2θ 40.1, rel. 1000
hkl 2 0 0, d = 2.243 Å, 2θ 40.2, rel. 199
hkl 2 6 0, d = 1.588 Å, 2θ 58.1, rel. 199
hkl 1 9 2, d = 1.298 Å, 2θ 72.9, rel. 198
hkl 3 3 2, d = 1.296 Å, 2θ 73.0, rel. 198
hkl 2 6 4, d = 1.123 Å, 2θ 86.7, rel. 85

=====

# 6
NbReTcW: calculated XRD peak list (λ = 1.5418 Å (Cu Kα)), based on a crystal structure in Alexandria, relaxed with PBE.
Kinematic intensities with the Lorentz-polarization factor, no thermal factor.

Atomic structure:
```
data_NbReTcW
_chemical_formula_sum 'Nb1 Re1 Tc1 W1'
_symmetry_space_group_name_H-M 'P m m m'
_symmetry_Int_Tables_number 47
_symmetry_space_group_name_Hall '-P 2 2'
_cell_length_a 3.157
_cell_length_b 4.467
_cell_length_c 4.517
_cell_angle_alpha 90.00
_cell_angle_beta 90.00
_cell_angle_gamma 90.00
loop_
_atom_site_label
_atom_site_type_symbol
_atom_site_fract_x
_atom_site_fract_y
_atom_site_fract_z
Nb1 Nb 0.000 0.000 0.000
Re1 Re 0.500 0.000 0.500
Tc1 Tc 0.500 0.500 0.000
W1 W 0.000 0.500 0.500
```

Top 6 peaks for 10 to 90 degrees two-theta, most intense first:
hkl 1 1 1, d = 2.239 Å, 2θ 40.3, rel. 1000
hkl 0 0 2, d = 2.258 Å, 2θ 39.9, rel. 256
hkl 2 2 0, d = 1.290 Å, 2θ 73.4, rel. 255
hkl 0 2 0, d = 2.233 Å, 2θ 40.4, rel. 248
hkl 1 1 3, d = 1.300 Å, 2θ 72.7, rel. 175
hkl 0 2 2, d = 1.588 Å, 2θ 58.1, rel. 171

=====

# 7
Ti2Nb4Re: calculated XRD peak list (λ = 1.5418 Å (Cu Kα)), based on a crystal structure in Alexandria, relaxed with PBE.
Kinematic intensities with the Lorentz-polarization factor, no thermal factor.

Atomic structure:
```
data_Ti2Nb4Re
_chemical_formula_sum 'Ti2 Nb4 Re1'
_symmetry_space_group_name_H-M 'P -1'
_symmetry_Int_Tables_number 2
_symmetry_space_group_name_Hall '-P 1'
_cell_length_a 2.844
_cell_length_b 6.987
_cell_length_c 7.091
_cell_angle_alpha 117.31
_cell_angle_beta 98.77
_cell_angle_gamma 97.09
loop_
_atom_site_label
_atom_site_type_symbol
_atom_site_fract_x
_atom_site_fract_y
_atom_site_fract_z
Ti1 Ti 0.233 0.274 0.364
Nb1 Nb 0.063 0.426 0.781
Nb2 Nb 0.374 0.139 0.925
Re1 Re 0.500 0.000 0.500
```

Top 6 peaks for 10 to 90 degrees two-theta, most intense first:
hkl 1 1 0, d = 2.314 Å, 2θ 38.9, rel. 1000
hkl 0 2 -3, d = 2.285 Å, 2θ 39.4, rel. 951
hkl 1 0 -2, d = 2.336 Å, 2θ 38.5, rel. 512
hkl 0 3 -1, d = 2.275 Å, 2θ 39.6, rel. 472
hkl 0 1 -1, d = 6.010 Å, 2θ 14.7, rel. 377
hkl 1 3 -3, d = 1.630 Å, 2θ 56.5, rel. 325

=====

# 8
Ti2NbRe2: calculated XRD peak list (λ = 1.5418 Å (Cu Kα)), based on a crystal structure in Alexandria, relaxed with PBE.
Kinematic intensities with the Lorentz-polarization factor, no thermal factor.

Atomic structure:
```
data_Ti2NbRe2
_chemical_formula_sum 'Ti4 Nb2 Re4'
_symmetry_space_group_name_H-M 'P 1 21/m 1'
_symmetry_Int_Tables_number 11
_symmetry_space_group_name_Hall '-P 2yb'
_cell_length_a 3.167
_cell_length_b 4.515
_cell_length_c 11.278
_cell_angle_alpha 90.00
_cell_angle_beta 98.06
_cell_angle_gamma 90.00
loop_
_atom_site_label
_atom_site_type_symbol
_atom_site_fract_x
_atom_site_fract_y
_atom_site_fract_z
Ti1 Ti 0.048 0.250 0.096
Ti2 Ti 0.243 0.250 0.487
Nb1 Nb 0.147 0.750 0.293
Re1 Re 0.350 0.750 0.701
Re2 Re 0.451 0.250 0.903
```

Top 6 peaks for 10 to 90 degrees two-theta, most intense first:
hkl 1 1 2, d = 2.242 Å, 2θ 40.2, rel. 1000
hkl 1 1 -3, d = 2.242 Å, 2θ 40.2, rel. 998
hkl 0 2 0, d = 2.257 Å, 2θ 39.9, rel. 513
hkl 0 0 5, d = 2.233 Å, 2θ 40.4, rel. 483
hkl 2 0 4, d = 1.291 Å, 2θ 73.3, rel. 479
hkl 0 1 2, d = 3.511 Å, 2θ 25.4, rel. 394

=====

# 9
TiNbRe: calculated XRD peak list (λ = 1.5418 Å (Cu Kα)), based on a crystal structure in Alexandria, relaxed with PBE.
Kinematic intensities with the Lorentz-polarization factor, no thermal factor.

Atomic structure:
```
data_TiNbRe
_chemical_formula_sum 'Ti1 Nb1 Re1'
_symmetry_space_group_name_H-M 'P 3 m 1'
_symmetry_Int_Tables_number 156
_symmetry_space_group_name_Hall 'P 3 -2"'
_cell_length_a 4.4443
_cell_length_b 4.4443
_cell_length_c 2.8561
_cell_angle_alpha 90.00
_cell_angle_beta 90.00
_cell_angle_gamma 120.00
loop_
_atom_site_label
_atom_site_type_symbol
_atom_site_fract_x
_atom_site_fract_y
_atom_site_fract_z
Ti1 Ti 0.0000 0.0000 0.0000
Nb1 Nb 0.3333 0.6667 0.3601
Re1 Re 0.6667 0.3333 0.6696
```

Top 6 peaks for 10 to 90 degrees two-theta, most intense first:
hkl 0 1 1, d = 2.294 Å, 2θ 39.3, rel. 1000
hkl 1 1 0, d = 2.222 Å, 2θ 40.6, rel. 827
hkl 1 0 0, d = 3.849 Å, 2θ 23.1, rel. 465
hkl 2 0 1, d = 1.596 Å, 2θ 57.8, rel. 322
hkl 1 2 1, d = 1.296 Å, 2θ 73.0, rel. 319
hkl 1 0 2, d = 1.339 Å, 2θ 70.3, rel. 193

=====

# 10
NbV5Re: calculated XRD peak list (λ = 1.5418 Å (Cu Kα)), based on a crystal structure in Alexandria, relaxed with PBE.
Kinematic intensities with the Lorentz-polarization factor, no thermal factor.

Atomic structure:
```
data_NbV5Re
_chemical_formula_sum 'Nb1 V5 Re1'
_symmetry_space_group_name_H-M 'P 4/m m m'
_symmetry_Int_Tables_number 123
_symmetry_space_group_name_Hall '-P 4 2'
_cell_length_a 3.498
_cell_length_b 3.498
_cell_length_c 8.823
_cell_angle_alpha 90.00
_cell_angle_beta 90.00
_cell_angle_gamma 90.00
loop_
_atom_site_label
_atom_site_type_symbol
_atom_site_fract_x
_atom_site_fract_y
_atom_site_fract_z
Nb1 Nb 0.000 0.000 0.000
V1 V 0.000 0.000 0.500
V2 V 0.000 0.500 0.245
Re1 Re 0.500 0.500 0.500
```

Top 6 peaks for 10 to 90 degrees two-theta, most intense first:
hkl 1 1 2, d = 2.157 Å, 2θ 41.9, rel. 1000
hkl 1 0 1, d = 3.252 Å, 2θ 27.4, rel. 587
hkl 0 0 1, d = 8.823 Å, 2θ 10.0, rel. 471
hkl 0 0 4, d = 2.206 Å, 2θ 40.9, rel. 266
hkl 2 0 0, d = 1.749 Å, 2θ 52.3, rel. 254
hkl 1 0 3, d = 2.251 Å, 2θ 40.1, rel. 217

=====

# 11
Nb7Re2W2: calculated XRD peak list (λ = 1.5418 Å (Cu Kα)), based on a crystal structure in Alexandria, relaxed with PBE.
Kinematic intensities with the Lorentz-polarization factor, no thermal factor.

Atomic structure:
```
data_Nb7Re2W2
_chemical_formula_sum 'Nb14 Re4 W4'
_symmetry_space_group_name_H-M 'C 1 2/m 1'
_symmetry_Int_Tables_number 12
_symmetry_space_group_name_Hall '-C 2y'
_cell_length_a 8.604
_cell_length_b 9.991
_cell_length_c 5.277
_cell_angle_alpha 90.00
_cell_angle_beta 117.96
_cell_angle_gamma 90.00
loop_
_atom_site_label
_atom_site_type_symbol
_atom_site_fract_x
_atom_site_fract_y
_atom_site_fract_z
Nb1 Nb 0.000 0.000 0.000
Nb2 Nb 0.169 0.500 0.487
Nb3 Nb 0.175 0.246 0.180
Re1 Re 0.169 0.500 0.987
W1 W 0.000 0.136 0.500
```

Top 6 peaks for 10 to 90 degrees two-theta, most intense first:
hkl 3 1 0, d = 2.455 Å, 2θ 36.6, rel. 1000
hkl 3 1 -2, d = 2.287 Å, 2θ 39.4, rel. 822
hkl 0 2 2, d = 2.112 Å, 2θ 42.8, rel. 584
hkl 0 4 1, d = 2.202 Å, 2θ 41.0, rel. 574
hkl 1 3 0, d = 3.050 Å, 2θ 29.3, rel. 565
hkl 2 2 -2, d = 2.309 Å, 2θ 39.0, rel. 534

=====

# 12
Nb6ReW: calculated XRD peak list (λ = 1.5418 Å (Cu Kα)), based on a crystal structure in Alexandria, relaxed with PBE.
Kinematic intensities with the Lorentz-polarization factor, no thermal factor.

Atomic structure:
```
data_Nb6ReW
_chemical_formula_sum 'Nb12 Re2 W2'
_symmetry_space_group_name_H-M 'A m m 2'
_symmetry_Int_Tables_number 38
_symmetry_space_group_name_Hall 'A 2 -2'
_cell_length_a 4.585
_cell_length_b 6.563
_cell_length_c 9.257
_cell_angle_alpha 90.00
_cell_angle_beta 90.00
_cell_angle_gamma 90.00
loop_
_atom_site_label
_atom_site_type_symbol
_atom_site_fract_x
_atom_site_fract_y
_atom_site_fract_z
Nb1 Nb 0.000 0.000 0.000
Nb2 Nb 0.000 0.245 0.250
Nb3 Nb 0.500 0.000 0.750
Nb4 Nb 0.500 0.247 0.501
Re1 Re 0.500 0.000 0.251
W1 W 0.000 0.000 0.501
```

Top 6 peaks for 10 to 90 degrees two-theta, most intense first:
hkl 1 2 2, d = 2.312 Å, 2θ 38.9, rel. 1000
hkl 1 2 6, d = 1.335 Å, 2θ 70.5, rel. 204
hkl 2 0 0, d = 2.293 Å, 2θ 39.3, rel. 195
hkl 2 0 4, d = 1.629 Å, 2θ 56.5, rel. 134
hkl 3 2 2, d = 1.327 Å, 2θ 71.0, rel. 134
hkl 2 4 4, d = 1.156 Å, 2θ 83.7, rel. 86

=====

# 13
Nb3Re2W2: calculated XRD peak list (λ = 1.5418 Å (Cu Kα)), based on a crystal structure in Alexandria, relaxed with PBE.
Kinematic intensities with the Lorentz-polarization factor, no thermal factor.

Atomic structure:
```
data_Nb3Re2W2
_chemical_formula_sum 'Nb6 Re4 W4'
_symmetry_space_group_name_H-M 'C 1 2/m 1'
_symmetry_Int_Tables_number 12
_symmetry_space_group_name_Hall '-C 2y'
_cell_length_a 10.172
_cell_length_b 3.205
_cell_length_c 7.202
_cell_angle_alpha 90.00
_cell_angle_beta 98.35
_cell_angle_gamma 90.00
loop_
_atom_site_label
_atom_site_type_symbol
_atom_site_fract_x
_atom_site_fract_y
_atom_site_fract_z
Nb1 Nb 0.000 0.000 0.000
Nb2 Nb 0.142 0.000 0.427
Re1 Re 0.218 0.500 0.141
W1 W 0.073 0.500 0.718
```

Top 6 peaks for 10 to 90 degrees two-theta, most intense first:
hkl 1 1 2, d = 2.271 Å, 2θ 39.7, rel. 1000
hkl 2 2 -3, d = 1.311 Å, 2θ 72.0, rel. 206
hkl 2 0 -3, d = 2.279 Å, 2θ 39.5, rel. 202
hkl 1 1 -5, d = 1.314 Å, 2θ 71.8, rel. 139
hkl 2 2 4, d = 1.135 Å, 2θ 85.5, rel. 111
hkl 4 2 1, d = 1.309 Å, 2θ 72.1, rel. 69

=====

# 14
Nb6ZnRe: calculated XRD peak list (λ = 1.5418 Å (Cu Kα)), based on a crystal structure in Alexandria, relaxed with PBE.
Kinematic intensities with the Lorentz-polarization factor, no thermal factor.

Atomic structure:
```
data_Nb6ZnRe
_chemical_formula_sum 'Nb12 Zn2 Re2'
_symmetry_space_group_name_H-M 'I 4/m m m'
_symmetry_Int_Tables_number 139
_symmetry_space_group_name_Hall '-I 4 2'
_cell_length_a 4.653
_cell_length_b 4.653
_cell_length_c 12.900
_cell_angle_alpha 90.00
_cell_angle_beta 90.00
_cell_angle_gamma 90.00
loop_
_atom_site_label
_atom_site_type_symbol
_atom_site_fract_x
_atom_site_fract_y
_atom_site_fract_z
Nb1 Nb 0.000 0.000 0.249
Nb2 Nb 0.000 0.500 0.122
Zn1 Zn 0.000 0.000 0.000
Re1 Re 0.000 0.000 0.500
```

Top 6 peaks for 10 to 90 degrees two-theta, most intense first:
hkl 1 1 4, d = 2.303 Å, 2θ 39.1, rel. 1000
hkl 2 0 0, d = 2.327 Å, 2θ 38.7, rel. 516
hkl 3 1 4, d = 1.339 Å, 2θ 70.3, rel. 342
hkl 2 2 0, d = 1.645 Å, 2θ 55.9, rel. 174
hkl 2 0 8, d = 1.325 Å, 2θ 71.1, rel. 164
hkl 2 2 8, d = 1.152 Å, 2θ 84.0, rel. 105

=====

# 15
Nb4Rh: calculated XRD peak list (λ = 1.5418 Å (Cu Kα)), based on a crystal structure in Alexandria, relaxed with PBE.
Kinematic intensities with the Lorentz-polarization factor, no thermal factor.

Atomic structure:
```
data_Nb4Rh
_chemical_formula_sum 'Nb16 Rh4'
_symmetry_space_group_name_H-M 'F m m m'
_symmetry_Int_Tables_number 69
_symmetry_space_group_name_Hall '-F 2 2'
_cell_length_a 3.398
_cell_length_b 4.547
_cell_length_c 22.572
_cell_angle_alpha 90.00
_cell_angle_beta 90.00
_cell_angle_gamma 90.00
loop_
_atom_site_label
_atom_site_type_symbol
_atom_site_fract_x
_atom_site_fract_y
_atom_site_fract_z
Nb1 Nb 0.000 0.000 0.093
Nb2 Nb 0.000 0.000 0.302
Rh1 Rh 0.000 0.000 0.500
```

Top 6 peaks for 10 to 90 degrees two-theta, most intense first:
hkl 1 1 5, d = 2.331 Å, 2θ 38.6, rel. 1000
hkl 0 2 0, d = 2.274 Å, 2θ 39.6, rel. 237
hkl 0 0 10, d = 2.257 Å, 2θ 39.9, rel. 214
hkl 1 3 5, d = 1.323 Å, 2θ 71.3, rel. 158
hkl 0 2 10, d = 1.602 Å, 2θ 57.5, rel. 143
hkl 1 1 15, d = 1.317 Å, 2θ 71.7, rel. 132